1.
For CeTe2PdO, a structure optimized by DFT (PBE) gives the computed PXRD pattern in this record (Cu Kα (λ = 1.5418 Å)).
Neutral-atom scattering factors, no anomalous dispersion.

Most intense lines, 2θ from 10° to 80°, by angle:
Position (°2θ)	d/Å	intensity
29.15	3.064	68
31.71	2.822	100
33.60	2.667	21
37.64	2.390	14
40.69	2.217	15
44.17	2.050	17
45.45	1.995	42
50.01	1.824	32
54.91	1.672	23
60.44	1.532	15
66.24	1.411	13
75.30	1.262	16

Structural model:
Cell lengths 3.991, 3.991, 14.340 Å; angles 90.00, 90.00, 90.00 degrees
Sites, in units of the cell vectors:
Ce1 0.250 0.250 0.086
Ce2 0.750 0.750 0.914
Te1 0.250 0.250 0.418
Te2 0.250 0.250 0.791
Te3 0.750 0.750 0.209
Te4 0.750 0.750 0.582
Pd1 0.250 0.250 0.604
Pd2 0.750 0.750 0.396
O1 0.250 0.750 0.000
O2 0.750 0.250 0.000

---

2.
For KRb4Br5, a structure optimized by DFT (PBE) gives the computed PXRD pattern in this record (Cu Kα (λ = 1.5418 Å)).
Neutral-atom scattering factors, no anomalous dispersion.

Most intense lines, 2θ from 10° to 80°, by angle:
Position (°2θ)	d/Å	intensity
18.23	4.867	1
25.52	3.490	1
25.64	3.474	100
33.02	2.712	1
36.58	2.456	77
45.21	2.006	28
52.66	1.738	9
52.77	1.735	4
59.47	1.554	24
59.56	1.552	12
65.86	1.418	26
77.76	1.228	8

Structural model:
Cell lengths 17.693, 17.693, 17.693 Å; angles 164.03, 164.03, 22.66 degrees
Sites, in units of the cell vectors:
K1 0.000 0.000 0.000
Rb1 0.199 0.199 0.000
Rb2 0.401 0.401 0.000
Rb3 0.599 0.599 0.000
Rb4 0.801 0.801 0.000
Br1 0.097 0.097 0.000
Br2 0.300 0.300 0.000
Br3 0.500 0.500 0.000
Br4 0.700 0.700 0.000
Br5 0.903 0.903 0.000

---

3.
For NdEr2GeN4, a structure optimized by DFT (PBE) gives the computed PXRD pattern in this record (Cu Kα (λ = 1.5418 Å)).
Neutral-atom scattering factors, no anomalous dispersion.

Most intense lines, 2θ from 10° to 80°, by angle:
Position (°2θ)	d/Å	intensity
28.00	3.187	52
30.78	2.905	100
31.03	2.882	33
31.36	2.852	46
35.62	2.521	31
38.18	2.357	66
44.70	2.027	18
47.83	1.902	22
50.21	1.817	19
51.96	1.760	20
53.26	1.720	23
53.47	1.714	17

Structural model:
Cell lengths 5.970, 5.970, 11.527 Å; angles 90.00, 90.00, 145.71 degrees
Sites, in units of the cell vectors:
Nd1 0.098 0.902 0.750
Nd2 0.902 0.098 0.250
Er1 0.370 0.630 0.543
Er2 0.370 0.630 0.957
Er3 0.630 0.370 0.043
Er4 0.630 0.370 0.457
Ge1 0.163 0.837 0.250
Ge2 0.837 0.163 0.750
N1 0.000 0.000 0.000
N2 0.000 0.000 0.500
N3 0.268 0.732 0.125
N4 0.268 0.732 0.375
N5 0.422 0.578 0.750
N6 0.578 0.422 0.250
N7 0.732 0.268 0.625
N8 0.732 0.268 0.875

---

4.
For SnP3O9, a structure optimized by DFT (PBE) gives the computed PXRD pattern in this record (Cu Kα (λ = 1.5418 Å)).
Neutral-atom scattering factors, no anomalous dispersion.

Most intense lines, 2θ from 10° to 80°, by angle:
Position (°2θ)	d/Å	intensity
13.94	6.354	17
17.14	5.173	38
22.00	4.041	100
22.28	3.990	81
22.38	3.972	40
24.17	3.682	16
24.43	3.644	33
31.21	2.866	29
31.67	2.825	38
31.84	2.810	31
33.42	2.681	16
37.69	2.387	21

Structural model:
Cell lengths 8.869, 8.939, 9.078 Å; angles 90.00, 90.00, 90.00 degrees
Sites, in units of the cell vectors:
Sn1 0.129 0.141 0.349
Sn2 0.371 0.859 0.849
Sn3 0.629 0.359 0.651
Sn4 0.871 0.641 0.151
P1 0.034 0.676 0.809
P2 0.194 0.197 0.940
P3 0.195 0.516 0.313
P4 0.305 0.484 0.813
P5 0.306 0.803 0.440
P6 0.466 0.324 0.309
P7 0.534 0.824 0.191
P8 0.694 0.303 0.060
P9 0.695 0.984 0.687
P10 0.805 0.016 0.187
P11 0.806 0.697 0.560
P12 0.966 0.176 0.691
O1 0.040 0.218 0.846
O2 0.085 0.116 0.588
O3 0.110 0.391 0.387
O4 0.122 0.595 0.184
O5 0.126 0.808 0.860
O6 0.142 0.541 0.756
O7 0.149 0.164 0.095
O8 0.197 0.903 0.359
O9 0.239 0.634 0.439
O10 0.261 0.366 0.939
O11 0.303 0.097 0.859
O12 0.351 0.836 0.595
O13 0.358 0.459 0.256
O14 0.374 0.192 0.360
O15 0.378 0.405 0.684
O16 0.390 0.609 0.887
O17 0.415 0.884 0.088
O18 0.460 0.782 0.346
O19 0.540 0.282 0.154
O20 0.585 0.384 0.412
O21 0.610 0.109 0.613
O22 0.622 0.905 0.816
O23 0.626 0.692 0.140
O24 0.642 0.959 0.244
O25 0.649 0.336 0.905
O26 0.697 0.597 0.641
O27 0.739 0.866 0.561
O28 0.761 0.134 0.061
O29 0.803 0.403 0.141
O30 0.851 0.664 0.405
O31 0.858 0.041 0.744
O32 0.874 0.308 0.640
O33 0.878 0.095 0.316
O34 0.890 0.891 0.113
O35 0.915 0.616 0.912
O36 0.960 0.718 0.654